Entry 1:
This entry pairs a crystal structure of Rb2PdI6 with its theoretical PXRD pattern. Radiation: CuKα. Structure: DFT lattice parameters and positions (PBE).
No peak broadening, texture or thermal motion is included.

Principal peaks in the range 10° ≤ 2θ ≤ 90°, in order of rising 2θ:
| 2θ (°) | Rel. int. | hkl |
| --- | --- | --- |
| 14.32 | 26 | 1 1 1 |
| 26.11 | 100 | 2 2 0 |
| 27.71 | 28 | 1 1 4 |
| 28.27 | 33 | 0 2 4 |
| 28.44 | 61 | 0 4 0 |
| 32.97 | 41 | 2 0 4 |
| 34.41 | 19 | 1 3 4 |
| 44.08 | 26 | 2 4 4 |
| 44.54 | 18 | 4 0 0 |
| 53.67 | 23 | 4 4 0 |

Atomic structure:
Unit cell a=8.1329 b=12.5550 c=14.6063 alpha=90.00 beta=90.00 gamma=90.00
Space group Pnma (No. 62)
Symmetry-distinct sites (fractional):
Rb 0.2124 0.0141 0.1393 (multiplicity 8)
Pd 0.2346 0.2500 0.4013 (multiplicity 4)
I 0.0065 0.2500 0.7835 (multiplicity 4)
I 0.0204 0.2500 0.0039 (multiplicity 4)
I 0.0249 0.7500 0.7091 (multiplicity 4)
I 0.0450 0.2500 0.5862 (multiplicity 4)
I 0.2340 0.0369 0.3948 (multiplicity 8)



Entry 2:
This entry pairs a crystal structure of PdS4I with its theoretical PXRD pattern. Radiation: CuKα. Structure: DFT lattice parameters and positions (PBE).
No peak broadening, texture or thermal motion is included.

Principal peaks in the range 10° ≤ 2θ ≤ 90°, in order of rising 2θ:
| 2θ (°) | Rel. int. | hkl |
| --- | --- | --- |
| 15.49 | 59 | 0 1 -1 |
| 20.08 | 100 | 0 1 1 |
| 25.24 | 28 | 0 0 2 |
| 25.61 | 38 | 0 2 0 |
| 29.05 | 15 | 2 0 0 |
| 32.55 | 20 | 2 0 -2 |
| 32.99 | 44 | 2 1 -1 |
| 33.13 | 22 | 2 -1 1 |
| 37.12 | 16 | 1 1 -3 |
| 41.45 | 16 | 2 1 1 |

Atomic structure:
Unit cell a=6.6057 b=7.3734 c=7.5008 alpha=100.58 beta=103.82 gamma=103.20
Space group P-1 (No. 2)
Symmetry-distinct sites (fractional):
Pd 0.2497 0.0568 0.4462 (multiplicity 2)
S 0.0386 0.2679 0.3611 (multiplicity 2)
S 0.1281 0.0133 0.7205 (multiplicity 2)
S 0.3720 0.7753 0.4808 (multiplicity 2)
S 0.4602 0.1492 0.2422 (multiplicity 2)
I 0.2531 0.5134 0.9851 (multiplicity 2)